Record 1
Theoretical powder diffractogram
Compound: Ca2CoAgH6
Radiation: CuKα
Structure: a structure optimized by DFT (PBE)
No peak broadening, texture or thermal motion is included.

Top 10 peaks for 10° ≤ 2θ ≤ 90°, in order of falling intensity:
20.75°, intensity 100; 36.35°, intensity 86; 41.07°, intensity 83; 27.15°, intensity 49; 68.61°, intensity 33; 55.99°, intensity 32; 42.22°, intensity 14; 65.40°, intensity 14; 45.95°, intensity 13; 56.91°, intensity 12

Structure:
abc: 4.9431 4.9431 5.1224
angles: 90.00 90.00 120.00
Space group P-3m1 (No. 164)
Inequivalent atoms, fractional coordinates:
Ca: 0.3333 0.6667 0.2949 [2 per cell]
Co: 0.0000 0.0000 0.5000 [1 per cell]
Ag: 0.0000 0.0000 0.0000 [1 per cell]
H: 0.1599 0.3198 0.6765 [6 per cell]

***

Record 2
Theoretical powder diffractogram
Compound: TmPuNi2Ge2
Radiation: CuKα
Structure: a structure optimized by DFT (PBE)
No peak broadening, texture or thermal motion is included.

Top 10 peaks for 10° ≤ 2θ ≤ 90°, in order of falling intensity:
35.18°, intensity 100; 43.08°, intensity 46; 24.47°, intensity 29; 56.78°, intensity 25; 73.84°, intensity 23; 68.95°, intensity 21; 51.04°, intensity 9; 78.97°, intensity 8; 85.70°, intensity 7; 57.39°, intensity 7

Structure:
abc: 4.1999 4.1999 7.1576
angles: 90.00 90.00 120.00
Space group P-3m1 (No. 164)
Inequivalent atoms, fractional coordinates:
Tm: 0.0000 0.0000 0.0000 [1 per cell]
Pu: 0.0000 0.0000 0.5000 [1 per cell]
Ni: 0.3333 0.6667 0.2270 [2 per cell]
Ge: 0.3333 0.6667 0.7573 [2 per cell]

***

Record 3
Theoretical powder diffractogram
Compound: BaNaMg2Pb2
Radiation: CuKα
Structure: a structure optimized by DFT (PBE)
No peak broadening, texture or thermal motion is included.

Top 10 peaks for 10° ≤ 2θ ≤ 90°, in order of falling intensity:
22.85°, intensity 100; 29.72°, intensity 62; 35.16°, intensity 55; 38.73°, intensity 28; 42.35°, intensity 21; 57.67°, intensity 19; 56.17°, intensity 19; 46.68°, intensity 18; 59.76°, intensity 17; 41.68°, intensity 14

Structure:
abc: 5.1053 5.1053 8.1998
angles: 90.00 90.00 120.00
Space group P-3m1 (No. 164)
Inequivalent atoms, fractional coordinates:
Ba: 0.0000 0.0000 0.0000 [1 per cell]
Na: 0.0000 0.0000 0.5000 [1 per cell]
Mg: 0.3333 0.6667 0.6601 [2 per cell]
Pb: 0.3333 0.6667 0.2626 [2 per cell]